Diffraction record for Li2PrPb. The powder X-ray diffraction pattern is computed, not measured: it uses a crystal structure in the Materials Project, relaxed with GGA-PBE and Cu Kα, 1.54184 Å.

The 10 most intense peaks (2θ = 5–70°), low angle first:
2theta, I_rel, (hkl)
21.8, 6, 1 1 1
25.2, 100, 2 0 0
36.0, 91, 2 2 0
42.5, 4, 3 1 1
44.5, 30, 2 2 2
51.8, 16, 4 0 0
56.9, 2, 3 3 1
58.5, 40, 4 2 0
64.7, 34, 4 2 2
69.2, 1, 5 1 1

Atomic structure:
```
Li2PrPb
1.0
7.0548 0.0000 0.0000
0.0000 7.0548 0.0000
0.0000 0.0000 7.0548
Li Pr Pb
8 4 4
Direct
0.2500 0.2500 0.2500
0.2500 0.2500 0.7500
0.2500 0.7500 0.2500
0.2500 0.7500 0.7500
0.7500 0.2500 0.2500
0.7500 0.2500 0.7500
0.7500 0.7500 0.2500
0.7500 0.7500 0.7500
0.0000 0.0000 0.0000
0.0000 0.5000 0.5000
0.5000 0.0000 0.5000
0.5000 0.5000 0.0000
0.0000 0.0000 0.5000
0.0000 0.5000 0.0000
0.5000 0.0000 0.0000
0.5000 0.5000 0.5000
```